Starting from a PBE+U-relaxed structure, the X-ray powder pattern of Li6Fe3CoP6O24 was simulated for Cu Ka.
Lines closer than 0.1° are merged.

Crystal structure
a b c (Å): 8.406 8.447 8.973
angles (deg): 90.57 117.42 119.81
Fractional positions:
Li: 0.000 0.000 0.000
Li: 0.018 0.850 0.507
Li: 0.128 0.245 0.760
Li: 0.259 0.618 0.009
Li: 0.575 0.068 0.502
Li: 0.618 0.357 0.006
Fe: 0.483 0.422 0.295
Fe: 0.496 0.923 0.809
Fe: 0.895 0.132 0.404
Co: 0.884 0.622 0.895
P: 0.400 0.027 0.104
P: 0.403 0.238 0.612
P: 0.689 0.730 0.103
P: 0.696 0.818 0.610
P: 0.981 0.313 0.099
P: 0.984 0.525 0.608
O: 0.045 0.383 0.595
O: 0.167 0.737 0.654
O: 0.176 0.144 0.591
O: 0.205 0.408 0.117
O: 0.218 0.815 0.052
O: 0.322 0.156 0.117
O: 0.393 0.274 0.442
O: 0.463 0.089 0.644
O: 0.472 0.074 0.970
O: 0.506 0.753 0.969
O: 0.527 0.797 0.647
O: 0.563 0.420 0.774
O: 0.575 0.525 0.116
O: 0.588 0.668 0.438
O: 0.596 0.074 0.288
O: 0.782 0.480 0.436
O: 0.814 0.024 0.591
O: 0.826 0.882 0.286
O: 0.827 0.113 0.955
O: 0.848 0.760 0.047
O: 0.882 0.816 0.768
O: 0.901 0.446 0.052
O: 0.946 0.502 0.766
O: 0.999 0.282 0.273

Main lines, by angle (10 to 90 degrees two-theta):
- 2θ = 14.38°, I = 65
- 2θ = 14.50°, I = 32
- 2θ = 19.77°, I = 68
- 2θ = 19.88°, I = 35
- 2θ = 24.10°, I = 100
- 2θ = 28.98°, I = 50
- 2θ = 31.64°, I = 40
- 2θ = 31.74°, I = 37
- 2θ = 31.91°, I = 36
- 2θ = 36.98°, I = 25